(1)
Structure and theoretical powder X-ray diffraction pattern of Ca2SbRhO6 (a crystal structure in Alexandria, relaxed with GGA-PBE; a wavelength of 1.5418 Å).

Main lines, sorted by position (5° ≤ 2θ ≤ 70°):
d (Å)	2θ (°)	Rel. int.	h k l
3.946	22.5	91	1 1 -1
3.914	22.7	41	0 0 2
2.835	31.6	48	0 2 0
2.795	32.0	100	1 1 1
2.763	32.4	98	1 1 -3
2.747	32.6	44	2 0 -2
1.973	46.0	52	2 2 -2
1.957	46.4	29	0 0 4
1.601	57.6	25	3 1 -1
1.583	58.3	35	3 1 -5

Structural model:
Unit cell a=5.4949 b=5.6700 c=9.4922 alpha=90.00 beta=124.45 gamma=90.00
Space group P2_1/c (No. 14)
Symmetry-distinct sites (fractional):
Ca  0.2309  0.0591  0.2480 [4 per cell]
Sb  0.5000  0.0000  0.0000 [2 per cell]
Rh  0.0000  0.0000  0.5000 [2 per cell]
O  0.1484  0.1949  0.9476 [4 per cell]
O  0.2499  0.7070  0.9426 [4 per cell]
O  0.3602  0.0372  0.7534 [4 per cell]

(2)
Structure and theoretical powder X-ray diffraction pattern of Dy7ErSc3 (a crystal structure in Alexandria, relaxed with GGA-PBE; a wavelength of 1.5418 Å).

Main lines, sorted by position (5° ≤ 2θ ≤ 70°):
d (Å)	2θ (°)	Rel. int.	h k l
3.368	26.5	60	2 0 0
3.146	28.4	31	1 1 3
3.038	29.4	78	1 5 1
2.831	31.6	61	1 3 -3
2.740	32.7	75	2 2 -2
2.733	32.8	71	0 0 4
2.723	32.9	75	2 2 2
2.692	33.3	52	2 4 0
2.621	34.2	100	0 6 2
2.337	38.5	31	1 7 1

Structural model:
Unit cell a=6.7362 b=17.9229 c=10.9331 alpha=90.00 beta=90.44 gamma=90.00
Space group C2/m (No. 12)
Symmetry-distinct sites (fractional):
Dy  0.2438  0.0000  0.2495 [4 per cell]
Dy  0.2452  0.4095  0.2500 [8 per cell]
Dy  0.2479  0.3376  0.5365 [8 per cell]
Dy  0.2494  0.1625  0.0367 [8 per cell]
Er  0.0000  0.0000  0.5000 [2 per cell]
Er  0.0000  0.5000  0.0000 [2 per cell]
Sc  0.0000  0.0000  0.0000 [2 per cell]
Sc  0.0000  0.5000  0.5000 [2 per cell]
Sc  0.0015  0.2486  0.7497 [8 per cell]

(3)
Structure and theoretical powder X-ray diffraction pattern of Be3AlMo (a crystal structure in Alexandria, relaxed with GGA-PBE; a wavelength of 1.5418 Å).

Main lines, sorted by position (5° ≤ 2θ ≤ 70°):
d (Å)	2θ (°)	Rel. int.	h k l
4.257	20.9	51	1 0 0
3.010	29.7	100	1 1 0
2.458	36.6	7	1 1 1
2.128	42.5	26	2 0 0
1.904	47.8	21	2 1 0
1.738	52.7	38	2 1 1
1.505	61.6	17	2 2 0
1.419	65.8	10	3 0 0
1.346	69.9	16	3 1 0

Structural model:
Unit cell a=4.2566 b=4.2566 c=4.2566 alpha=90.00 beta=90.00 gamma=90.00
Space group Pm-3m (No. 221)
Symmetry-distinct sites (fractional):
Be  0.0000  0.0000  0.5000 [3 per cell]
Al  0.5000  0.5000  0.5000 [1 per cell]
Mo  0.0000  0.0000  0.0000 [1 per cell]

(4)
Structure and theoretical powder X-ray diffraction pattern of Zn3P2 (a crystal structure in Alexandria, relaxed with GGA-PBE; a wavelength of 1.5418 Å).

Main lines, sorted by position (5° ≤ 2θ ≤ 70°):
d (Å)	2θ (°)	Rel. int.	h k l
3.461	25.7	16	2 1 1
3.309	26.9	27	2 0 2
3.065	29.1	26	2 1 2
2.871	31.2	47	2 2 0
2.856	31.3	20	0 0 4
2.778	32.2	39	2 0 3
2.630	34.1	24	3 0 1
2.446	36.7	18	3 0 2
2.030	44.6	55	4 0 0
2.025	44.8	100	2 2 4

Structural model:
Unit cell a=8.1207 b=8.1207 c=11.4239 alpha=90.00 beta=90.00 gamma=90.00
Space group P4_2/nmc (No. 137, origin choice 2)
Symmetry-distinct sites (fractional):
Zn  0.0033  0.7500  0.1019 [8 per cell]
Zn  0.0329  0.2500  0.6353 [8 per cell]
Zn  0.0326  0.7500  0.6437 [8 per cell]
P  0.0043  0.5043  0.2500 [8 per cell]
P  0.2500  0.2500  0.4958 [4 per cell]
P  0.2500  0.7500  0.5039 [4 per cell]

(5)
Structure and theoretical powder X-ray diffraction pattern of Li4Hg5Bi2 (a crystal structure in Alexandria, relaxed with GGA-PBE; a wavelength of 1.5418 Å).

Main lines, sorted by position (5° ≤ 2θ ≤ 70°):
d (Å)	2θ (°)	Rel. int.	h k l
4.847	18.3	23	0 0 2
4.093	21.7	27	1 1 -1
3.805	23.4	46	1 1 1
3.108	28.7	57	2 0 -3
2.822	31.7	94	3 1 0
2.673	33.5	59	3 1 -2
2.473	36.3	100	1 1 3
2.404	37.4	32	4 0 1
2.363	38.1	75	0 2 0
1.881	48.4	28	2 2 -3

Structural model:
Unit cell a=10.8709 b=4.7274 c=9.9862 alpha=90.00 beta=103.89 gamma=90.00
Space group C2/m (No. 12)
Symmetry-distinct sites (fractional):
Li  0.0174  0.0000  0.3372 [4 per cell]
Li  0.2262  0.5000  0.7665 [4 per cell]
Hg  0.0000  0.5000  0.5000 [2 per cell]
Hg  0.1690  0.0000  0.9252 [4 per cell]
Hg  0.2133  0.0000  0.5835 [4 per cell]
Bi  0.0448  0.5000  0.1690 [4 per cell]

(6)
Structure and theoretical powder X-ray diffraction pattern of HRhSe2Br (a crystal structure in Alexandria, relaxed with GGA-PBE; a wavelength of 1.5418 Å).

Main lines, sorted by position (5° ≤ 2θ ≤ 70°):
d (Å)	2θ (°)	Rel. int.	h k l
7.148	12.4	2	0 0 1
3.842	23.1	1	1 0 0
3.574	24.9	64	0 0 2
3.384	26.3	1	1 0 1
2.540	35.3	100	1 1 1
1.921	47.3	22	2 0 0
1.791	51.0	35	1 1 3
1.787	51.1	9	0 0 4
1.692	54.2	29	2 0 2
1.358	69.2	7	2 2 0

Structural model:
Unit cell a=3.8422 b=3.8422 c=7.1482 alpha=90.00 beta=90.00 gamma=90.00
Space group P4/mmm (No. 123)
Symmetry-distinct sites (fractional):
H  0.0000  0.0000  0.0000 [1 per cell]
Rh  0.5000  0.5000  0.5000 [1 per cell]
Se  0.0000  0.5000  0.0000 [2 per cell]
Br  0.0000  0.0000  0.5000 [1 per cell]

(7)
Structure and theoretical powder X-ray diffraction pattern of HoZn2P2Pt7 (a crystal structure in Alexandria, relaxed with GGA-PBE; a wavelength of 1.5418 Å).

Main lines, sorted by position (5° ≤ 2θ ≤ 70°):
d (Å)	2θ (°)	Rel. int.	h k l
13.889	6.4	100	0 0 1
4.630	19.2	17	0 0 3
2.778	32.2	32	0 0 5
2.574	34.9	38	0 2 2
2.525	35.5	39	2 0 -3
2.433	36.9	48	2 0 2
2.378	37.8	50	0 2 3
1.984	45.7	22	0 0 7
1.959	46.4	43	2 2 -1
1.949	46.6	24	2 2 0

Structural model:
Unit cell a=5.5434 b=5.5417 c=14.0368 alpha=90.00 beta=98.33 gamma=90.00
Space group C2/m (No. 12)
Symmetry-distinct sites (fractional):
Ho  0.0000  0.0000  0.0000 [2 per cell]
Zn  0.1016  0.0000  0.4158 [4 per cell]
P  0.0931  0.5000  0.2571 [4 per cell]
Pt  0.0000  0.5000  0.0000 [2 per cell]
Pt  0.1101  0.5000  0.4186 [4 per cell]
Pt  0.1917  0.2499  0.8397 [8 per cell]

(8)
Structure and theoretical powder X-ray diffraction pattern of RbErGa2Cl6 (a crystal structure in Alexandria, relaxed with GGA-PBE; a wavelength of 1.5418 Å).

Main lines, sorted by position (5° ≤ 2θ ≤ 70°):
d (Å)	2θ (°)	Rel. int.	h k l
6.229	14.2	35	0 1 0
5.486	16.2	74	1 1 0
3.983	22.3	77	1 1 2
3.783	23.5	72	2 1 1
3.293	27.1	38	2 1 0
2.743	32.6	39	2 2 0
2.505	35.8	100	1 2 3
2.219	40.7	29	2 3 3
2.185	41.3	34	3 0 1
1.710	53.6	21	2 0 4

Structural model:
Unit cell a=7.5546 b=7.5703 c=7.9815 alpha=61.82 beta=61.77 gamma=60.10
Space group P1 (No. 1)
Symmetry-distinct sites (fractional):
Rb  0.0000  0.0000  0.0000 [1 per cell]
Er  0.4872  0.4877  0.5370 [1 per cell]
Ga  0.2935  0.2940  0.1192 [1 per cell]
Ga  0.8004  0.7998  0.5994 [1 per cell]
Cl  0.1173  0.4308  0.7940 [1 per cell]
Cl  0.2517  0.8397  0.3340 [1 per cell]
Cl  0.4299  0.6559  0.7955 [1 per cell]
Cl  0.5744  0.2528  0.3327 [1 per cell]
Cl  0.6556  0.1192  0.7946 [1 per cell]
Cl  0.8397  0.5751  0.3339 [1 per cell]